Entry 1:
Theoretical powder diffraction line list
Compound: Ho6Rh2N
Radiation: Cu Kα, 1.54184 Å
Structure: a cell relaxed with PBE

Peak list (12 most intense, 10° ≤ 2θ ≤ 80°, low angle first)
d = 2.911 Å, 2θ = 30.7°, I = 56; d = 2.820 Å, 2θ = 31.7°, I = 37; d = 2.798 Å, 2θ = 32.0°, I = 100; d = 2.777 Å, 2θ = 32.2°, I = 36; d = 2.765 Å, 2θ = 32.4°, I = 35; d = 2.616 Å, 2θ = 34.3°, I = 35; d = 2.578 Å, 2θ = 34.8°, I = 50; d = 2.554 Å, 2θ = 35.1°, I = 24; d = 2.325 Å, 2θ = 38.7°, I = 20; d = 1.688 Å, 2θ = 54.4°, I = 22; d = 1.603 Å, 2θ = 57.5°, I = 27; d = 1.560 Å, 2θ = 59.2°, I = 22

Atomic structure:
```
Ho6Rh2N
1.0
6.4054 0.0000 0.0000
0.0000 6.9977 0.0000
-6.2200 0.0000 9.3330
Ho Rh N
12 4 2
Cartesian
-0.6917 0.2680 2.2663
-3.8016 3.2309 6.9328
1.1290 4.8508 0.5556
-1.9810 5.6458 5.2221
1.9840 1.2205 0.5291
-1.1260 2.2784 5.1956
1.3114 4.7193 4.1374
-1.7985 5.7773 8.8039
2.1664 1.3520 4.1109
-0.9436 2.1469 8.7774
3.9871 3.7669 2.4002
0.8771 6.7297 7.0667
-2.8305 0.6535 7.0300
0.2795 2.8454 2.3635
-0.0940 4.1523 6.9696
3.0159 6.3443 2.3031
0.0000 0.0000 0.0000
-3.1100 3.4989 4.6665
```

Entry 2:
Theoretical powder diffraction line list
Compound: Ac5YHo
Radiation: Cu Kα, 1.54184 Å
Structure: a cell relaxed with PBE

Peak list (12 most intense, 10° ≤ 2θ ≤ 80°, low angle first)
d = 3.800 Å, 2θ = 23.4°, I = 16; d = 3.173 Å, 2θ = 28.1°, I = 65; d = 3.125 Å, 2θ = 28.6°, I = 63; d = 3.098 Å, 2θ = 28.8°, I = 31; d = 3.017 Å, 2θ = 29.6°, I = 100; d = 2.948 Å, 2θ = 30.3°, I = 22; d = 2.850 Å, 2θ = 31.4°, I = 30; d = 2.700 Å, 2θ = 33.2°, I = 27; d = 2.434 Å, 2θ = 36.9°, I = 22; d = 1.978 Å, 2θ = 45.9°, I = 18; d = 1.885 Å, 2θ = 48.3°, I = 26; d = 1.777 Å, 2θ = 51.4°, I = 24

Atomic structure:
```
Ac5YHo
1.0
3.3286 -9.2928 0.0000
3.3286 9.2928 0.0000
-2.5479 0.0000 9.6292
Ac Y Ho
10 2 2
Cartesian
-0.2986 3.4232 6.2196
1.4177 6.7898 7.2219
2.5180 2.6698 0.3460
0.9754 -3.4232 1.4050
2.8652 2.6698 4.4686
1.2441 -2.6698 5.1606
3.1339 3.4232 8.2242
1.5913 -2.6698 9.2832
2.6916 -6.7898 2.4073
4.4078 -3.4232 3.4096
0.0000 0.0000 0.0000
-1.2740 0.0000 4.8146
1.4177 0.2780 7.2219
2.6916 -0.2780 2.4073
```

Entry 3:
Theoretical powder diffraction line list
Compound: K4Rb16Hg3
Radiation: Cu Kα, 1.54184 Å
Structure: a cell relaxed with PBE

Peak list (12 most intense, 10° ≤ 2θ ≤ 80°, low angle first)
d = 6.351 Å, 2θ = 13.9°, I = 57; d = 4.629 Å, 2θ = 19.2°, I = 14; d = 3.818 Å, 2θ = 23.3°, I = 94; d = 3.369 Å, 2θ = 26.5°, I = 100; d = 3.327 Å, 2θ = 26.8°, I = 19; d = 2.977 Å, 2θ = 30.0°, I = 29; d = 2.529 Å, 2θ = 35.5°, I = 26; d = 2.380 Å, 2θ = 37.8°, I = 27; d = 2.368 Å, 2θ = 38.0°, I = 20; d = 2.020 Å, 2θ = 44.9°, I = 36; d = 1.664 Å, 2θ = 55.2°, I = 14; d = 1.506 Å, 2θ = 61.6°, I = 18

Atomic structure:
```
K4Rb16Hg3
1.0
9.5215 0.0000 0.0000
0.0000 9.5215 0.0000
0.0000 0.0000 19.1384
K Rb Hg
4 16 3
Cartesian
0.0000 4.7608 3.7119
0.0000 4.7608 15.4265
4.7608 0.0000 3.7119
4.7608 0.0000 15.4265
0.0000 0.0000 3.6574
0.0000 0.0000 15.4811
2.3722 2.3722 7.4168
2.3722 2.3722 11.7217
2.3722 7.1493 7.4168
2.3722 7.1493 11.7217
2.4945 2.4945 0.0000
2.4945 7.0270 0.0000
4.7608 4.7608 3.7722
4.7608 4.7608 15.3662
7.0270 2.4945 0.0000
7.0270 7.0270 0.0000
7.1493 2.3722 7.4168
7.1493 2.3722 11.7217
7.1493 7.1493 7.4168
7.1493 7.1493 11.7217
0.0000 0.0000 0.0000
0.0000 4.7608 9.5692
4.7608 0.0000 9.5692
```

Entry 4:
Theoretical powder diffraction line list
Compound: Pr4Nd2Er
Radiation: Cu Kα, 1.54184 Å
Structure: a cell relaxed with PBE

Peak list (10 most intense, 10° ≤ 2θ ≤ 80°, low angle first)
d = 3.002 Å, 2θ = 29.8°, I = 100; d = 2.990 Å, 2θ = 29.9°, I = 33; d = 2.598 Å, 2θ = 34.5°, I = 67; d = 1.840 Å, 2θ = 49.6°, I = 24; d = 1.834 Å, 2θ = 49.7°, I = 24; d = 1.567 Å, 2θ = 58.9°, I = 43; d = 1.563 Å, 2θ = 59.1°, I = 14; d = 1.501 Å, 2θ = 61.8°, I = 12; d = 1.495 Å, 2θ = 62.1°, I = 4; d = 1.299 Å, 2θ = 72.8°, I = 8

Atomic structure:
```
Pr4Nd2Er
1.0
1.8396 1.0621 20.9317
-1.8396 1.0621 20.9317
0.0000 -2.1241 20.9317
Pr Nd Er
4 2 1
Cartesian
0.0000 0.0000 8.9443
0.0000 0.0000 18.0311
0.0000 0.0000 44.7641
0.0000 0.0000 53.8509
0.0000 0.0000 26.8583
0.0000 0.0000 35.9369
0.0000 0.0000 0.0000
```

Entry 5:
Theoretical powder diffraction line list
Compound: Ba3Ca8
Radiation: Cu Kα, 1.54184 Å
Structure: a cell relaxed with PBE

Peak list (12 most intense, 10° ≤ 2θ ≤ 80°, low angle first)
d = 5.217 Å, 2θ = 17.0°, I = 53; d = 4.237 Å, 2θ = 21.0°, I = 100; d = 4.097 Å, 2θ = 21.7°, I = 26; d = 3.568 Å, 2θ = 25.0°, I = 36; d = 3.310 Å, 2θ = 26.9°, I = 39; d = 3.083 Å, 2θ = 29.0°, I = 54; d = 3.032 Å, 2θ = 29.5°, I = 27; d = 2.795 Å, 2θ = 32.0°, I = 23; d = 2.598 Å, 2θ = 34.5°, I = 64; d = 2.135 Å, 2θ = 42.3°, I = 23; d = 2.049 Å, 2θ = 44.2°, I = 21; d = 1.739 Å, 2θ = 52.6°, I = 20

Atomic structure:
```
Ba3Ca8
1.0
6.6199 3.8220 4.1920
-6.6199 3.8220 4.1920
0.0000 -7.6441 4.1920
Ba Ca
3 8
Cartesian
-3.3100 -1.9110 4.1920
-3.3100 1.9110 8.3840
0.0000 3.8220 4.1920
-0.0174 -2.1547 1.4613
-1.8573 1.0924 1.4613
1.8747 1.0623 1.4613
0.0000 0.0000 4.5216
0.0000 0.0000 8.0544
-1.8747 -1.0623 11.1147
1.8573 -1.0924 11.1147
0.0174 2.1547 11.1147
```

Entry 6:
Theoretical powder diffraction line list
Compound: CsNpInI6
Radiation: Cu Kα, 1.54184 Å
Structure: a cell relaxed with PBE

Peak list (12 most intense, 10° ≤ 2θ ≤ 80°, low angle first)
d = 7.188 Å, 2θ = 12.3°, I = 48; d = 5.784 Å, 2θ = 15.3°, I = 100; d = 4.278 Å, 2θ = 20.8°, I = 25; d = 3.791 Å, 2θ = 23.5°, I = 89; d = 3.658 Å, 2θ = 24.3°, I = 28; d = 2.956 Å, 2θ = 30.2°, I = 91; d = 2.892 Å, 2θ = 30.9°, I = 54; d = 2.509 Å, 2θ = 35.8°, I = 24; d = 2.396 Å, 2θ = 37.5°, I = 60; d = 2.301 Å, 2θ = 39.2°, I = 34; d = 1.895 Å, 2θ = 48.0°, I = 22; d = 1.454 Å, 2θ = 64.0°, I = 18

Atomic structure:
```
CsNpInI6
1.0
8.1803 0.0000 0.0000
0.0000 8.1803 0.0000
0.0000 0.0000 15.0575
Cs Np In I
2 2 2 12
Cartesian
0.0000 0.0000 0.0000
4.0902 4.0902 7.5288
0.0000 0.0000 9.9620
4.0902 4.0902 2.4332
0.0000 0.0000 5.0203
4.0902 4.0902 12.5491
1.4050 1.4050 7.6640
1.6048 1.6048 11.9539
1.9724 1.9724 2.6248
2.1178 6.0626 10.1536
2.4854 5.6949 4.4251
2.6851 5.4952 0.1352
5.4952 2.6851 0.1352
5.6949 2.4854 4.4251
6.0626 2.1178 10.1536
6.2079 6.2079 2.6248
6.5756 6.5756 11.9539
6.7753 6.7753 7.6640
```

Entry 7:
Theoretical powder diffraction line list
Compound: Cs2Na3
Radiation: Cu Kα, 1.54184 Å
Structure: a cell relaxed with PBE

Peak list (12 most intense, 10° ≤ 2θ ≤ 80°, low angle first)
d = 5.886 Å, 2θ = 15.1°, I = 100; d = 3.988 Å, 2θ = 22.3°, I = 53; d = 3.398 Å, 2θ = 26.2°, I = 60; d = 3.301 Å, 2θ = 27.0°, I = 36; d = 2.943 Å, 2θ = 30.4°, I = 19; d = 2.879 Å, 2θ = 31.1°, I = 48; d = 2.368 Å, 2θ = 38.0°, I = 25; d = 2.225 Å, 2θ = 40.5°, I = 17; d = 2.198 Å, 2θ = 41.1°, I = 12; d = 2.058 Å, 2θ = 44.0°, I = 20; d = 1.962 Å, 2θ = 46.3°, I = 12; d = 1.888 Å, 2θ = 48.2°, I = 13

Atomic structure:
```
Cs2Na3
1.0
5.8861 3.3984 5.7769
-5.8861 3.3984 5.7769
0.0000 -6.7967 5.7769
Cs Na
4 6
Cartesian
0.0000 0.0000 2.1290
0.0000 0.0000 6.5364
0.0000 0.0000 10.7943
0.0000 0.0000 15.2018
-4.0171 -0.1610 7.2211
-1.8691 -3.5594 10.1096
2.1480 -3.3984 7.2211
-2.1480 3.3984 10.1096
1.8691 3.5594 7.2211
4.0171 0.1610 10.1096
```

Entry 8:
Theoretical powder diffraction line list
Compound: Hf5AlPt
Radiation: Cu Kα, 1.54184 Å
Structure: a cell relaxed with PBE

Peak list (12 most intense, 10° ≤ 2θ ≤ 80°, low angle first)
d = 7.231 Å, 2θ = 12.2°, I = 100; d = 2.629 Å, 2θ = 34.1°, I = 46; d = 2.487 Å, 2θ = 36.1°, I = 80; d = 2.410 Å, 2θ = 37.3°, I = 46; d = 2.396 Å, 2θ = 37.5°, I = 48; d = 2.382 Å, 2θ = 37.8°, I = 51; d = 2.366 Å, 2θ = 38.0°, I = 31; d = 2.330 Å, 2θ = 38.6°, I = 54; d = 2.323 Å, 2θ = 38.8°, I = 42; d = 2.307 Å, 2θ = 39.0°, I = 32; d = 2.270 Å, 2θ = 39.7°, I = 86; d = 2.109 Å, 2θ = 42.9°, I = 32

Atomic structure:
```
Hf5AlPt
1.0
5.4237 -5.0408 0.0000
5.4237 5.0408 0.0000
-1.5978 0.0000 5.2550
Hf Al Pt
10 2 2
Cartesian
1.7052 0.8428 3.0616
3.6206 1.9463 0.9301
4.2254 2.7437 3.9412
2.5041 -0.8428 0.4342
6.4280 1.9463 1.6973
2.8217 -1.9463 3.5576
6.7456 0.8428 4.8208
5.0243 -2.7437 1.3137
5.6291 -1.9463 4.3248
7.5445 -0.8428 2.1933
5.0243 4.4567 1.3137
4.2254 -4.4567 3.9412
5.4237 0.0000 0.0000
4.6248 0.0000 2.6275
```

Entry 9:
Theoretical powder diffraction line list
Compound: Te7As5I
Radiation: Cu Kα, 1.54184 Å
Structure: a cell relaxed with PBE

Peak list (12 most intense, 10° ≤ 2θ ≤ 80°, low angle first)
d = 7.465 Å, 2θ = 11.9°, I = 9; d = 3.417 Å, 2θ = 26.1°, I = 14; d = 3.305 Å, 2θ = 27.0°, I = 10; d = 3.180 Å, 2θ = 28.1°, I = 54; d = 3.095 Å, 2θ = 28.8°, I = 10; d = 3.078 Å, 2θ = 29.0°, I = 100; d = 2.568 Å, 2θ = 34.9°, I = 8; d = 2.434 Å, 2θ = 36.9°, I = 25; d = 2.349 Å, 2θ = 38.3°, I = 13; d = 2.039 Å, 2θ = 44.4°, I = 49; d = 1.909 Å, 2θ = 47.6°, I = 12; d = 1.715 Å, 2θ = 53.4°, I = 15

Atomic structure:
```
Te7As5I
1.0
7.6200 -2.0368 0.0000
7.6200 2.0368 0.0000
-4.9139 0.0000 13.2205
Te As I
7 5 1
Cartesian
0.0000 0.0000 0.0000
-3.2214 0.0000 9.4262
0.9274 0.0000 10.1260
2.7985 0.0000 6.3616
8.7815 0.0000 3.3376
6.2684 0.0000 12.4847
12.7963 0.0000 3.6574
0.3633 0.0000 5.1318
2.5359 0.0000 0.7943
6.3047 0.0000 2.2004
3.4277 0.0000 11.1613
9.5378 0.0000 8.2868
6.7178 0.0000 6.9657
```

Entry 10:
Theoretical powder diffraction line list
Compound: P2Pt8Pb
Radiation: Cu Kα, 1.54184 Å
Structure: a cell relaxed with PBE

Peak list (12 most intense, 10° ≤ 2θ ≤ 80°, low angle first)
d = 7.039 Å, 2θ = 12.6°, I = 13; d = 3.519 Å, 2θ = 25.3°, I = 41; d = 2.745 Å, 2θ = 32.6°, I = 62; d = 2.558 Å, 2θ = 35.1°, I = 19; d = 2.346 Å, 2θ = 38.4°, I = 19; d = 2.165 Å, 2θ = 41.7°, I = 100; d = 1.941 Å, 2θ = 46.8°, I = 46; d = 1.784 Å, 2θ = 51.2°, I = 20; d = 1.700 Å, 2θ = 53.9°, I = 21; d = 1.496 Å, 2θ = 62.1°, I = 19; d = 1.373 Å, 2θ = 68.3°, I = 15; d = 1.253 Å, 2θ = 76.0°, I = 19

Atomic structure:
```
P2Pt8Pb
1.0
-2.7455 2.7455 7.0386
2.7455 -2.7455 7.0386
2.7455 2.7455 -7.0386
P Pt Pb
2 8 1
Cartesian
2.7455 0.0000 3.5193
0.0000 2.7455 3.5193
1.3543 1.3543 -2.0553
1.3912 -1.3912 4.9833
1.3543 1.3543 2.0553
1.3912 -1.3912 9.0939
-1.3912 1.3912 4.9833
1.3912 1.3912 4.9833
-1.3912 1.3912 9.0939
1.3912 1.3912 9.0939
0.0000 0.0000 7.0386
```

Entry 11:
Theoretical powder diffraction line list
Compound: ReGe4Mo2
Radiation: Cu Kα, 1.54184 Å
Structure: a cell relaxed with PBE

Peak list (12 most intense, 10° ≤ 2θ ≤ 80°, low angle first)
d = 5.251 Å, 2θ = 16.9°, I = 36; d = 5.171 Å, 2θ = 17.1°, I = 42; d = 2.723 Å, 2θ = 32.9°, I = 45; d = 2.540 Å, 2θ = 35.3°, I = 33; d = 2.522 Å, 2θ = 35.6°, I = 46; d = 2.202 Å, 2θ = 41.0°, I = 49; d = 2.155 Å, 2θ = 41.9°, I = 62; d = 2.145 Å, 2θ = 42.1°, I = 100; d = 2.123 Å, 2θ = 42.6°, I = 56; d = 2.059 Å, 2θ = 44.0°, I = 38; d = 1.718 Å, 2θ = 53.3°, I = 33; d = 1.607 Å, 2θ = 57.3°, I = 51

Atomic structure:
```
ReGe4Mo2
1.0
14.7400 0.0000 0.0000
0.0000 3.1102 0.0000
-2.0374 0.0000 5.2514
Re Ge Mo
2 8 4
Cartesian
0.0000 0.0000 0.0000
7.3700 1.5551 0.0000
0.9951 1.5551 1.7054
0.1566 0.0000 4.0977
5.1760 1.5551 1.1537
4.3375 0.0000 3.5460
8.3651 0.0000 1.7054
7.5266 1.5551 4.0977
12.5460 0.0000 1.1537
11.7075 1.5551 3.5460
3.1270 0.0000 1.2872
2.2056 1.5551 3.9642
10.4970 1.5551 1.2872
9.5756 0.0000 3.9642
```

Entry 12:
Theoretical powder diffraction line list
Compound: Hf4Ge3As
Radiation: Cu Kα, 1.54184 Å
Structure: a cell relaxed with PBE

Peak list (12 most intense, 10° ≤ 2θ ≤ 80°, low angle first)
d = 3.754 Å, 2θ = 23.7°, I = 43; d = 3.138 Å, 2θ = 28.4°, I = 27; d = 3.124 Å, 2θ = 28.6°, I = 27; d = 2.548 Å, 2θ = 35.2°, I = 100; d = 2.413 Å, 2θ = 37.3°, I = 88; d = 2.408 Å, 2θ = 37.4°, I = 87; d = 2.402 Å, 2θ = 37.4°, I = 86; d = 2.395 Å, 2θ = 37.6°, I = 85; d = 1.984 Å, 2θ = 45.7°, I = 49; d = 1.877 Å, 2θ = 48.5°, I = 41; d = 1.562 Å, 2θ = 59.1°, I = 26; d = 1.364 Å, 2θ = 68.9°, I = 29

Atomic structure:
```
Hf4Ge3As
1.0
3.2362 0.0000 0.0000
1.5783 6.2480 0.0000
0.0445 0.0399 7.5082
Hf Ge As
4 3 1
Cartesian
0.4341 1.6073 1.8887
1.2560 4.7313 1.8874
3.6029 1.5565 5.6208
4.4248 4.6806 5.6195
1.6181 0.0000 0.0000
1.6403 0.0199 3.7541
2.4072 3.1240 0.0000
2.4295 3.1439 3.7541
```

Entry 13:
Theoretical powder diffraction line list
Compound: Na4Br3
Radiation: Cu Kα, 1.54184 Å
Structure: a cell relaxed with PBE

Peak list (12 most intense, 10° ≤ 2θ ≤ 80°, low angle first)
d = 6.955 Å, 2θ = 12.7°, I = 13; d = 3.632 Å, 2θ = 24.5°, I = 10; d = 3.442 Å, 2θ = 25.9°, I = 27; d = 3.341 Å, 2θ = 26.7°, I = 10; d = 2.989 Å, 2θ = 29.9°, I = 100; d = 2.121 Å, 2θ = 42.6°, I = 36; d = 2.105 Å, 2θ = 43.0°, I = 36; d = 1.721 Å, 2θ = 53.2°, I = 19; d = 1.494 Å, 2θ = 62.1°, I = 11; d = 1.341 Å, 2θ = 70.2°, I = 15; d = 1.332 Å, 2θ = 70.7°, I = 15; d = 1.219 Å, 2θ = 78.5°, I = 11

Atomic structure:
```
Na4Br3
1.0
2.1051 1.2154 13.9107
-2.1051 1.2154 13.9107
0.0000 -2.4308 13.9107
Na Br
4 3
Cartesian
0.0000 0.0000 5.1902
0.0000 0.0000 15.5346
0.0000 0.0000 26.1975
0.0000 0.0000 36.5419
0.0000 0.0000 10.4932
0.0000 0.0000 20.8660
0.0000 0.0000 31.2388
```